# 1
# Pm5PuSb4
Calculated powder XRD pattern, Cu Kα (λ = 1.5418 Å). Input: the GGA-PBE geometry in Alexandria.

Atomic structure:
```
data_Pm5PuSb4
_chemical_formula_sum 'Pm10 Pu2 Sb8'
_space_group_name_H-M_alt 'C 1 2/m 1'
_space_group_IT_number 12
_cell_length_a 19.112
_cell_length_b 4.397
_cell_length_c 8.631
_cell_angle_alpha 90.00
_cell_angle_beta 105.14
_cell_angle_gamma 90.00
loop_
_space_group_symop_operation_xyz
'x,y,z'
'-x,-y,-z'
'-x,y,-z'
'x,-y,z'
'x+1/2,y+1/2,z'
'-x+1/2,-y+1/2,-z'
'-x+1/2,y+1/2,-z'
'x+1/2,-y+1/2,z'
loop_
_atom_site_label
_atom_site_type_symbol
_atom_site_fract_x
_atom_site_fract_y
_atom_site_fract_z
_atom_site_occupancy
Pm1 Pm 0.000 0.000 0.000 1
Pm2 Pm 0.164 0.500 0.329 1
Pm3 Pm 0.174 0.500 0.850 1
Pu1 Pu 0.000 0.000 0.500 1
Sb1 Sb 0.006 0.500 0.752 1
Sb2 Sb 0.169 0.000 0.590 1
```

The 12 most intense peaks (10 to 90 degrees two-theta), by angle:
10.62°, I = 10.3, hkl 0 0 1
24.89°, I = 10.8, hkl 3 1 0
29.01°, I = 100.0, hkl 1 1 -2
40.93°, I = 26.4, hkl 7 1 -2
41.05°, I = 13.3, hkl 0 2 0
41.90°, I = 12.2, hkl 2 0 -4
42.08°, I = 25.1, hkl 5 1 2
51.07°, I = 13.7, hkl 6 2 0
60.13°, I = 12.2, hkl 2 2 -4
67.33°, I = 11.8, hkl 8 2 -4
68.96°, I = 10.1, hkl 4 2 4
75.47°, I = 8.2, hkl 5 3 2

***

# 2
# Ho10Bi3Sb3
Calculated powder XRD pattern, Cu Kα (λ = 1.5418 Å). Input: the GGA-PBE geometry in Alexandria.

Atomic structure:
```
data_Ho10Bi3Sb3
_chemical_formula_sum 'Ho10 Bi3 Sb3'
_space_group_name_H-M_alt 'P -6 2 m'
_space_group_IT_number 189
_space_group_name_Hall 'P -6 -2'
_cell_length_a 9.0354
_cell_length_b 9.0354
_cell_length_c 6.3160
_cell_angle_alpha 90.00
_cell_angle_beta 90.00
_cell_angle_gamma 120.00
loop_
_atom_site_label
_atom_site_type_symbol
_atom_site_fract_x
_atom_site_fract_y
_atom_site_fract_z
_atom_site_occupancy
Ho1 Ho 0.0000 0.2455 0.0000 1
Ho2 Ho 0.0000 0.7558 0.5000 1
Ho3 Ho 0.3333 0.6667 0.2459 1
Bi1 Bi 0.0000 0.3908 0.5000 1
Sb1 Sb 0.0000 0.6122 0.0000 1
```

The 12 most intense peaks (10 to 90 degrees two-theta), by angle:
28.26°, I = 19.3, hkl 0 0 2
30.22°, I = 29.0, hkl 2 1 0
30.53°, I = 13.6, hkl 1 0 2
33.46°, I = 100.0, hkl 2 1 1
34.38°, I = 49.5, hkl 3 0 0
34.66°, I = 79.3, hkl 1 1 2
44.12°, I = 13.8, hkl 3 1 1
49.62°, I = 19.9, hkl 2 2 2
53.03°, I = 12.0, hkl 3 2 1
53.42°, I = 26.8, hkl 2 1 3
66.70°, I = 17.5, hkl 5 0 2
69.60°, I = 12.9, hkl 3 0 4

***

# 3
# AsRuI
Calculated powder XRD pattern, Cu Kα (λ = 1.5418 Å). Input: the GGA-PBE geometry in Alexandria.

Atomic structure:
```
data_AsRuI
_chemical_formula_sum 'As2 Ru2 I2'
_space_group_name_H-M_alt 'P m n 21'
_space_group_IT_number 31
_cell_length_a 3.810
_cell_length_b 5.536
_cell_length_c 6.283
_cell_angle_alpha 90.00
_cell_angle_beta 90.00
_cell_angle_gamma 90.00
loop_
_space_group_symop_operation_xyz
'x,y,z'
'-x+1/2,-y,z+1/2'
'-x,y,z'
'x+1/2,-y,z+1/2'
loop_
_atom_site_label
_atom_site_type_symbol
_atom_site_fract_x
_atom_site_fract_y
_atom_site_fract_z
_atom_site_occupancy
As1 As 0.000 0.004 0.000 1
Ru1 Ru 0.000 0.209 0.656 1
I1 I 0.000 0.456 0.278 1
```

The 12 most intense peaks (10 to 90 degrees two-theta), by angle:
21.39°, I = 31.4, hkl 0 1 1
28.43°, I = 57.8, hkl 1 1 0
31.87°, I = 100.0, hkl 1 1 1
32.78°, I = 64.0, hkl 0 1 2
35.44°, I = 16.2, hkl 0 2 1
40.63°, I = 21.0, hkl 1 1 2
42.87°, I = 71.7, hkl 1 2 1
47.74°, I = 27.8, hkl 2 0 0
49.67°, I = 39.6, hkl 1 0 3
59.12°, I = 23.0, hkl 2 1 2
68.72°, I = 19.4, hkl 0 2 4
87.96°, I = 14.0, hkl 2 2 4

***

# 4
# Ho2Au5F21
Calculated powder XRD pattern, Cu Kα (λ = 1.5418 Å). Input: the GGA-PBE geometry in Alexandria.

Atomic structure:
```
data_Ho2Au5F21
_chemical_formula_sum 'Ho4 Au10 F42'
_space_group_name_H-M_alt 'P -1'
_space_group_IT_number 2
_cell_length_a 8.066
_cell_length_b 9.209
_cell_length_c 12.043
_cell_angle_alpha 89.18
_cell_angle_beta 88.86
_cell_angle_gamma 89.01
loop_
_space_group_symop_operation_xyz
'x,y,z'
'-x,-y,-z'
loop_
_atom_site_label
_atom_site_type_symbol
_atom_site_fract_x
_atom_site_fract_y
_atom_site_fract_z
_atom_site_occupancy
Ho1 Ho 0.162 0.183 0.001 1
Ho2 Ho 0.168 0.317 0.496 1
Au1 Au 0.062 0.509 0.791 1
Au2 Au 0.064 0.984 0.703 1
Au3 Au 0.327 0.719 0.405 1
Au4 Au 0.337 0.779 0.093 1
Au5 Au 0.489 0.750 0.754 1
F1 F 0.000 0.000 0.000 1
F2 F 0.000 0.500 0.500 1
F3 F 0.014 0.135 0.420 1
F4 F 0.048 0.388 0.085 1
F5 F 0.074 0.124 0.189 1
F6 F 0.084 0.383 0.310 1
F7 F 0.085 0.732 0.385 1
F8 F 0.095 0.746 0.088 1
F9 F 0.160 0.105 0.817 1
F10 F 0.188 0.409 0.673 1
F11 F 0.200 0.095 0.595 1
F12 F 0.202 0.398 0.896 1
F13 F 0.310 0.727 0.862 1
F14 F 0.322 0.981 0.032 1
F15 F 0.324 0.759 0.639 1
F16 F 0.328 0.510 0.451 1
F17 F 0.334 0.917 0.350 1
F18 F 0.336 0.220 0.362 1
F19 F 0.351 0.261 0.123 1
F20 F 0.358 0.588 0.161 1
F21 F 0.423 0.195 0.900 1
F22 F 0.431 0.283 0.577 1
```

The 12 most intense peaks (10 to 90 degrees two-theta), by angle:
19.28°, I = 28.4, hkl 0 2 0
22.07°, I = 48.4, hkl 1 2 0
22.40°, I = 45.9, hkl 1 -2 0
23.43°, I = 30.2, hkl 2 0 -1
23.94°, I = 32.5, hkl 2 1 0
24.07°, I = 100.0, hkl 0 1 3
24.24°, I = 40.3, hkl 2 -1 0
24.53°, I = 49.4, hkl 0 2 -2
24.94°, I = 40.7, hkl 1 0 -3
26.63°, I = 29.0, hkl 1 -1 3
26.86°, I = 56.9, hkl 1 1 -3
26.91°, I = 55.1, hkl -1 2 2